Starting from a cell relaxed with PBE+U, the X-ray powder pattern of NaCr3O8 was simulated for CuKα.
Lines closer than 0.1° are merged.

Atomic structure:
```
NaCr3O8
1.0
4.350 -2.773 0.000
4.350 2.773 0.000
-0.017 0.000 7.018
Na Cr O
1 3 8
direct
0.000 0.000 0.000
0.000 0.000 0.500
0.357 0.357 0.276
0.643 0.643 0.724
0.215 0.720 0.295
0.224 0.224 0.444
0.278 0.278 0.068
0.280 0.785 0.705
0.720 0.215 0.295
0.722 0.722 0.932
0.776 0.776 0.556
0.785 0.280 0.705
```

Most intense lines, 2θ = 10–90°, sorted by position:
12.6 deg, d = 7.018 Å, I = 37; 22.9 deg, d = 3.890 Å, I = 100; 24.1 deg, d = 3.700 Å, I = 66; 31.9 deg, d = 2.806 Å, I = 66; 32.3 deg, d = 2.773 Å, I = 27; 34.9 deg, d = 2.570 Å, I = 39; 40.7 deg, d = 2.218 Å, I = 10; 46.7 deg, d = 1.946 Å, I = 12; 57.3 deg, d = 1.607 Å, I = 11; 60.2 deg, d = 1.538 Å, I = 24